1.
Structure and computed powder X-ray diffraction pattern of SrLiZnPt (a crystal structure in Alexandria, relaxed with GGA-PBE; Cu Kα).
No peak broadening, texture or thermal motion is included.

Crystal structure
```
data_SrLiZnPt
_chemical_formula_sum 'Sr2 Li2 Zn2 Pt2'
_space_group_name_H-M_alt 'C 1 m 1'
_space_group_IT_number 8
_space_group_name_Hall 'C -2y'
_cell_length_a 7.7155
_cell_length_b 4.4562
_cell_length_c 5.8839
_cell_angle_alpha 90.00
_cell_angle_beta 116.39
_cell_angle_gamma 90.00
loop_
_atom_site_label
_atom_site_type_symbol
_atom_site_fract_x
_atom_site_fract_y
_atom_site_fract_z
_atom_site_occupancy
Sr1 Sr 0.0000 0.0000 0.0000 1
Li1 Li 0.3102 0.5000 0.4315 1
Zn1 Zn 0.0200 0.5000 0.5604 1
Pt1 Pt 0.2013 0.0000 0.6039 1
```

Main lines, in order of rising 2θ (2θ = 10–80°):
Position (°2θ)  I (rel.)
16.82  83
23.74  100
25.65  25
32.29  30
32.49  59
34.02  36
36.67  34
40.49  93
53.69  19
53.88  19

=====

2.
Structure and computed powder X-ray diffraction pattern of Li5TaPt6 (a crystal structure in Alexandria, relaxed with GGA-PBE; Cu Kα).
No peak broadening, texture or thermal motion is included.

Crystal structure
```
data_Li5TaPt6
_chemical_formula_sum 'Li10 Ta2 Pt12'
_space_group_name_H-M_alt 'C m m m'
_space_group_IT_number 65
_space_group_name_Hall '-C 2 2'
_cell_length_a 4.3474
_cell_length_b 12.8629
_cell_length_c 5.9295
_cell_angle_alpha 90.00
_cell_angle_beta 90.00
_cell_angle_gamma 90.00
loop_
_atom_site_label
_atom_site_type_symbol
_atom_site_fract_x
_atom_site_fract_y
_atom_site_fract_z
_atom_site_occupancy
Li1 Li 0.0000 0.0000 0.0000 1
Li2 Li 0.0000 0.3301 0.5000 1
Li3 Li 0.0000 0.3348 0.0000 1
Ta1 Ta 0.0000 0.0000 0.5000 1
Pt1 Pt 0.0000 0.1675 0.2444 1
Pt2 Pt 0.0000 0.5000 0.2434 1
```

Main lines, in order of rising 2θ (2θ = 10–80°):
Position (°2θ)  I (rel.)
29.25  66
30.14  31
41.54  27
42.15  26
42.50  100
52.18  14
60.67  18
69.22  18
76.46  18
77.29  18

=====

3.
Structure and computed powder X-ray diffraction pattern of Li4TbPt2 (a crystal structure in Alexandria, relaxed with GGA-PBE; Cu Kα).
No peak broadening, texture or thermal motion is included.

Crystal structure
```
data_Li4TbPt2
_chemical_formula_sum 'Li8 Tb2 Pt4'
_space_group_name_H-M_alt 'P 42/m n m'
_space_group_IT_number 136
_space_group_name_Hall '-P 4n 2n'
_cell_length_a 7.5894
_cell_length_b 7.5894
_cell_length_c 4.1176
_cell_angle_alpha 90.00
_cell_angle_beta 90.00
_cell_angle_gamma 90.00
loop_
_atom_site_label
_atom_site_type_symbol
_atom_site_fract_x
_atom_site_fract_y
_atom_site_fract_z
_atom_site_occupancy
Li1 Li 0.0985 0.3469 0.0000 1
Tb1 Tb 0.0000 0.0000 0.5000 1
Pt1 Pt 0.2055 0.7945 0.0000 1
```

Main lines, in order of rising 2θ (2θ = 10–80°):
Position (°2θ)  I (rel.)
16.52  43
26.26  35
27.30  100
33.39  47
34.24  60
41.91  52
43.65  32
49.52  20
56.32  21
70.64  27

=====

4.
Structure and computed powder X-ray diffraction pattern of Li2Tb3Pt5 (a crystal structure in Alexandria, relaxed with GGA-PBE; Cu Kα).
No peak broadening, texture or thermal motion is included.

Crystal structure
```
data_Li2Tb3Pt5
_chemical_formula_sum 'Li4 Tb6 Pt10'
_space_group_name_H-M_alt 'P 4/m b m'
_space_group_IT_number 127
_space_group_name_Hall '-P 4 2ab'
_cell_length_a 9.7629
_cell_length_b 9.7629
_cell_length_c 3.7543
_cell_angle_alpha 90.00
_cell_angle_beta 90.00
_cell_angle_gamma 90.00
loop_
_atom_site_label
_atom_site_type_symbol
_atom_site_fract_x
_atom_site_fract_y
_atom_site_fract_z
_atom_site_occupancy
Li1 Li 0.1197 0.3803 0.0000 1
Tb1 Tb 0.0000 0.0000 0.0000 1
Tb2 Tb 0.1755 0.6755 0.0000 1
Pt1 Pt 0.0000 0.5000 0.5000 1
Pt2 Pt 0.0701 0.2169 0.5000 1
```

Main lines, in order of rising 2θ (2θ = 10–80°):
Position (°2θ)  I (rel.)
23.70  20
31.43  70
35.32  36
37.72  100
38.00  61
41.10  33
41.36  34
48.50  28
63.21  28
73.01  23

=====

5.
Structure and computed powder X-ray diffraction pattern of Li2TcPt (a crystal structure in Alexandria, relaxed with GGA-PBE; Cu Kα).
No peak broadening, texture or thermal motion is included.

Crystal structure
```
data_Li2TcPt
_chemical_formula_sum 'Li2 Tc1 Pt1'
_space_group_name_H-M_alt 'P m m m'
_space_group_IT_number 47
_space_group_name_Hall '-P 2 2'
_cell_length_a 2.5888
_cell_length_b 4.2411
_cell_length_c 5.1960
_cell_angle_alpha 90.00
_cell_angle_beta 90.00
_cell_angle_gamma 90.00
loop_
_atom_site_label
_atom_site_type_symbol
_atom_site_fract_x
_atom_site_fract_y
_atom_site_fract_z
_atom_site_occupancy
Li1 Li 0.0000 0.0000 0.2449 1
Tc1 Tc 0.5000 0.5000 0.5000 1
Pt1 Pt 0.5000 0.5000 0.0000 1
```

Main lines, in order of rising 2θ (2θ = 10–80°):
Position (°2θ)  I (rel.)
20.95  100
34.52  28
34.65  28
40.73  42
40.84  41
49.72  23
54.52  31
56.02  28
67.53  19
76.77  19

=====

6.
Structure and computed powder X-ray diffraction pattern of LiTe2Pt (a crystal structure in Alexandria, relaxed with GGA-PBE; Cu Kα).
No peak broadening, texture or thermal motion is included.

Crystal structure
```
data_LiTe2Pt
_chemical_formula_sum 'Li2 Te4 Pt2'
_space_group_name_H-M_alt 'A m m 2'
_space_group_IT_number 38
_space_group_name_Hall 'A 2 -2'
_cell_length_a 4.1416
_cell_length_b 3.9094
_cell_length_c 10.3799
_cell_angle_alpha 90.00
_cell_angle_beta 90.00
_cell_angle_gamma 90.00
loop_
_atom_site_label
_atom_site_type_symbol
_atom_site_fract_x
_atom_site_fract_y
_atom_site_fract_z
_atom_site_occupancy
Li1 Li 0.0000 0.0000 0.0000 1
Te1 Te 0.0000 0.0000 0.7233 1
Te2 Te 0.5000 0.0000 0.4420 1
Pt1 Pt 0.5000 0.0000 0.1789 1
```

Main lines, in order of rising 2θ (2θ = 10–80°):
Position (°2θ)  I (rel.)
17.08  32
21.46  21
32.66  100
34.59  52
41.08  62
43.71  19
46.46  16
54.75  16
56.90  25
59.18  12